Computed powder diffraction line list
Compound: AlSi2Cl
Radiation: Cu Kα
Structure: a GGA-PBE-relaxed structure
No peak broadening, texture or thermal motion is included.

Top 10 peaks for 10 to 90 degrees two-theta, sorted by position:
index, 2θ/deg, I_rel
0 0 1, 12.2, 45
1 0 1, 19.4, 100
1 1 0, 30.5, 77
2 0 -2, 30.9, 72
1 1 1, 34.1, 72
3 0 -1, 37.2, 31
0 1 2, 37.3, 63
2 1 1, 41.7, 92
1 1 -3, 46.3, 52
0 2 0, 57.2, 37

Atomic structure:
Cell lengths 7.2842, 3.2220, 7.4547 Å; angles 90.00, 103.45, 90.00 degrees
Sites, in units of the cell vectors:
Al (0.0000, 0.0000, 0.0000)
Al (0.4387, 0.5000, 0.5888)
Si (0.3531, 0.0000, 0.0829)
Si (0.5401, 0.5000, 0.2868)
Si (0.5525, 0.0000, 0.8726)
Si (0.7580, 0.5000, 0.0947)
Cl (0.1996, 0.0000, 0.4800)
Cl (0.9587, 0.5000, 0.7588)

---

Computed powder diffraction line list
Compound: AlSi2Cl
Radiation: Cu Kα
Structure: a GGA-PBE-relaxed structure
No peak broadening, texture or thermal motion is included.

Top 10 peaks for 10 to 90 degrees two-theta, sorted by position:
index, 2θ/deg, I_rel
0 1 -1, 23.7, 31
0 0 2, 26.6, 34
0 1 2, 27.4, 47
1 1 -1, 28.6, 57
1 -1 0, 29.0, 29
1 0 2, 30.6, 89
1 2 1, 31.1, 100
-1 1 1, 31.3, 63
0 1 -3, 47.9, 29
2 -1 1, 48.8, 54

Atomic structure:
Cell lengths 5.0003, 5.9525, 7.1545 Å; angles 71.31, 76.19, 69.28 degrees
Sites, in units of the cell vectors:
Al (0.0000, 0.0000, 0.0000)
Al (0.3048, 0.1883, 0.3936)
Si (0.2653, 0.5948, 0.8325)
Si (0.4255, 0.9515, 0.7328)
Si (0.5796, 0.3534, 0.0712)
Si (0.7792, 0.6900, 0.9391)
Cl (0.1929, 0.8873, 0.2982)
Cl (0.8656, 0.4193, 0.4637)